1.
Computed powder diffraction line list
Compound: Ac2GaGe4
Radiation: λ = 1.5418 Å (Cu Kα)
Structure: a crystal structure in Alexandria, relaxed with GGA-PBE
Lines closer than 0.1° are merged.

Atomic structure:
Cell: 8.676 8.697 9.987 Å, 90.00 90.00 90.00°
Space group Fmm2 (No. 42)
One atom of each set of equivalent atoms:
Ac 0.250 0.250 0.000 x8
Ga 0.000 0.000 0.370 x4
Ge 0.000 0.215 0.746 x8
Ge 0.219 0.000 0.743 x8

Top 8 peaks for 10° ≤ 2θ ≤ 90°, most intense first:
two_theta  intensity
34.28  100
27.21  75
20.45  43
41.67  31
50.41  23
60.31  22
35.97  19
56.13  18

2.
Computed powder diffraction line list
Compound: Ba3Nb5O15
Radiation: λ = 1.5418 Å (Cu Kα)
Structure: a crystal structure in Alexandria, relaxed with GGA-PBE
Lines closer than 0.1° are merged.

Atomic structure:
Cell: 12.832 12.832 4.039 Å, 90.00 90.00 90.00°
Space group P4/mbm (No. 127)
One atom of each set of equivalent atoms:
Ba 0.000 0.000 0.000 x2
Ba 0.168 0.332 0.000 x4
Nb 0.000 0.500 0.500 x2
Nb 0.077 0.787 0.500 x8
O 0.000 0.500 0.000 x2
O 0.007 0.343 0.500 x8
O 0.068 0.140 0.500 x8
O 0.078 0.792 0.000 x8
O 0.220 0.720 0.500 x4

Top 8 peaks for 10° ≤ 2θ ≤ 90°, most intense first:
two_theta  intensity
31.22  100
27.00  50
28.68  46
29.59  25
44.88  22
25.02  20
54.14  15
55.51  15

3.
Computed powder diffraction line list
Compound: Lu10Mn13C18
Radiation: λ = 1.5418 Å (Cu Kα)
Structure: a crystal structure in Alexandria, relaxed with GGA-PBE
Lines closer than 0.1° are merged.

Atomic structure:
Cell: 9.926 9.926 9.926 Å, 90.00 90.00 90.00°
Space group I-43m (No. 217)
One atom of each set of equivalent atoms:
Lu 0.000 0.250 0.500 x12
Lu 0.206 0.206 0.206 x8
Mn 0.000 0.000 0.000 x2
Mn 0.077 0.077 0.743 x24
C 0.000 0.000 0.431 x12
C 0.036 0.260 0.740 x24

Top 8 peaks for 10° ≤ 2θ ≤ 90°, most intense first:
two_theta  intensity
31.22  100
33.79  76
36.20  61
38.48  54
57.21  46
28.44  25
46.66  24
69.60  24

4.
Computed powder diffraction line list
Compound: Na2B3C
Radiation: λ = 1.5418 Å (Cu Kα)
Structure: a crystal structure in Alexandria, relaxed with GGA-PBE
Lines closer than 0.1° are merged.

Atomic structure:
Cell: 2.9134 2.9134 34.3271 Å, 90.00 90.00 120.00°
Space group P3m1 (No. 156)
One atom of each set of equivalent atoms:
Na 0.0000 0.0000 0.0000 x1
Na 0.0000 0.0000 0.1229 x1
Na 0.0000 0.0000 0.2457 x1
Na 0.0000 0.0000 0.3727 x1
Na 0.0000 0.0000 0.4998 x1
Na 0.0000 0.0000 0.6232 x1
Na 0.0000 0.0000 0.7497 x1
Na 0.0000 0.0000 0.8734 x1
B 0.3333 0.6667 0.1841 x1
B 0.3333 0.6667 0.3090 x1
B 0.3333 0.6667 0.4364 x1
B 0.3333 0.6667 0.6864 x1
B 0.3333 0.6667 0.9367 x1
B 0.6667 0.3333 0.0618 x1
B 0.6667 0.3333 0.3090 x1
B 0.6667 0.3333 0.4364 x1
B 0.6667 0.3333 0.5613 x1
B 0.6667 0.3333 0.6864 x1
B 0.6667 0.3333 0.8115 x1
B 0.6667 0.3333 0.9367 x1
C 0.3333 0.6667 0.0619 x1
C 0.3333 0.6667 0.5613 x1
C 0.3333 0.6667 0.8115 x1
C 0.6667 0.3333 0.1841 x1

Top 8 peaks for 10° ≤ 2θ ≤ 90°, most intense first:
two_theta  intensity
41.52  100
42.12  24
35.58  19
63.91  18
79.54  17
76.57  12
79.13  11
56.29  10

5.
Computed powder diffraction line list
Compound: GeBO4
Radiation: λ = 1.5418 Å (Cu Kα)
Structure: a crystal structure in Alexandria, relaxed with GGA-PBE
Lines closer than 0.1° are merged.

Atomic structure:
Cell: 4.177 4.177 7.672 Å, 90.00 90.00 90.00°
Space group P-42c (No. 112)
One atom of each set of equivalent atoms:
Ge 0.000 0.500 0.250 x2
B 0.000 0.000 0.000 x2
O 0.193 0.222 0.392 x8

Top 8 peaks for 10° ≤ 2θ ≤ 90°, most intense first:
two_theta  intensity
24.26  100
38.47  49
50.27  22
41.40  19
30.26  18
61.47  15
49.71  14
66.15  14

6.
Computed powder diffraction line list
Compound: K4TeN4
Radiation: λ = 1.5418 Å (Cu Kα)
Structure: a crystal structure in Alexandria, relaxed with GGA-PBE
Lines closer than 0.1° are merged.

Atomic structure:
Cell: 5.762 6.025 7.745 Å, 98.95 90.10 90.02°
Space group P-1 (No. 2)
One atom of each set of equivalent atoms:
K 0.001 0.052 0.255 x2
K 0.499 0.398 0.753 x2
Te 0.000 0.500 0.000 x1
N 0.396 0.000 0.499 x2
N 0.499 0.998 0.925 x2

Top 8 peaks for 10° ≤ 2θ ≤ 90°, most intense first:
two_theta  intensity
30.04  100
33.57  52
11.57  51
25.55  48
31.04  37
17.40  35
19.28  31
30.49  23